1.
Starting from a DFT-relaxed cell (GGA-PBE, Alexandria), the PXRD pattern of TbPm5Ge6 was simulated for Cu Kα.
No peak broadening, texture or thermal motion is included.

Top 12 peaks for 10 to 90 degrees two-theta, most intense first:
29.75°, I = 1000; 42.71°, I = 373; 42.47°, I = 252; 25.74°, I = 153; 52.97°, I = 132; 42.37°, I = 127; 61.78°, I = 124; 69.91°, I = 114; 70.22°, I = 112; 78.10°, I = 104; 52.45°, I = 68; 52.81°, I = 67

Structural model:
Cell: 7.390 12.683 7.344 Å, 90.00 109.22 90.00°
Space group C2/m (No. 12)
One atom of each set of equivalent atoms:
Tb 0.000 0.000 0.000 (multiplicity 2)
Pm 0.000 0.168 0.500 (multiplicity 4)
Pm 0.000 0.333 0.000 (multiplicity 4)
Pm 0.000 0.500 0.500 (multiplicity 2)
Ge 0.247 0.000 0.751 (multiplicity 4)
Ge 0.247 0.165 0.247 (multiplicity 8)

=====

2.
Starting from a DFT-relaxed cell (GGA-PBE, Alexandria), the PXRD pattern of Ba2Tl7 was simulated for Cu Kα.
No peak broadening, texture or thermal motion is included.

Top 12 peaks for 10 to 90 degrees two-theta, most intense first:
31.61°, I = 1000; 34.65°, I = 339; 31.89°, I = 278; 15.72°, I = 266; 56.13°, I = 230; 50.93°, I = 217; 66.02°, I = 212; 36.31°, I = 172; 27.21°, I = 132; 79.19°, I = 121; 34.06°, I = 114; 33.94°, I = 99

Structural model:
Cell: 6.5545 6.5545 50.5082 Å, 90.00 90.00 120.00°
Space group R-3m (No. 166, hexagonal axes)
One atom of each set of equivalent atoms:
Ba 0.0000 0.0000 0.0507 (multiplicity 6)
Ba 0.0000 0.0000 0.1477 (multiplicity 6)
Tl 0.0000 0.0000 0.2770 (multiplicity 6)
Tl 0.0000 0.0000 0.3907 (multiplicity 6)
Tl 0.0000 0.0000 0.5000 (multiplicity 3)
Tl 0.0000 0.5000 0.0000 (multiplicity 9)
Tl 0.0038 0.5019 0.8882 (multiplicity 18)

=====

3.
Starting from a DFT-relaxed cell (GGA-PBE, Alexandria), the PXRD pattern of Sr3Al2Zn2 was simulated for Cu Kα.
No peak broadening, texture or thermal motion is included.

Top 12 peaks for 10 to 90 degrees two-theta, most intense first:
35.58°, I = 1000; 30.97°, I = 792; 33.99°, I = 545; 30.12°, I = 493; 30.29°, I = 404; 31.97°, I = 364; 36.93°, I = 353; 21.27°, I = 260; 43.97°, I = 231; 25.62°, I = 228; 27.46°, I = 227; 23.77°, I = 220

Structural model:
Cell: 6.271 8.720 14.603 Å, 90.00 90.00 90.00°
Space group Pbcm (No. 57)
One atom of each set of equivalent atoms:
Sr 0.128 0.113 0.103 (multiplicity 8)
Sr 0.348 0.743 0.750 (multiplicity 4)
Al 0.172 0.095 0.750 (multiplicity 4)
Al 0.381 0.750 0.000 (multiplicity 4)
Zn 0.380 0.034 0.590 (multiplicity 8)

=====

4.
Starting from a DFT-relaxed cell (GGA-PBE, Alexandria), the PXRD pattern of Li5Ac2H2Pb3 was simulated for Cu Kα.
No peak broadening, texture or thermal motion is included.

Top 12 peaks for 10 to 90 degrees two-theta, most intense first:
26.30°, I = 1000; 35.42°, I = 702; 33.16°, I = 554; 23.31°, I = 456; 37.54°, I = 434; 44.65°, I = 343; 50.94°, I = 339; 69.01°, I = 273; 18.92°, I = 264; 55.58°, I = 259; 66.37°, I = 236; 61.15°, I = 200

Structural model:
Cell: 4.792 4.792 22.901 Å, 90.00 90.00 90.00°
Space group I4/mmm (No. 139)
One atom of each set of equivalent atoms:
Li 0.000 0.000 0.000 (multiplicity 2)
Li 0.000 0.500 0.074 (multiplicity 8)
Ac 0.000 0.000 0.188 (multiplicity 4)
H 0.000 0.000 0.082 (multiplicity 4)
Pb 0.000 0.000 0.345 (multiplicity 4)
Pb 0.000 0.000 0.500 (multiplicity 2)

=====

5.
Starting from a DFT-relaxed cell (GGA-PBE, Alexandria), the PXRD pattern of Er6Ni5Os was simulated for Cu Kα.
No peak broadening, texture or thermal motion is included.

Top 12 peaks for 10 to 90 degrees two-theta, most intense first:
38.03°, I = 1000; 37.80°, I = 508; 68.36°, I = 176; 54.53°, I = 175; 68.47°, I = 175; 68.86°, I = 172; 26.48°, I = 129; 81.33°, I = 109; 55.21°, I = 84; 26.79°, I = 62; 46.94°, I = 57; 61.74°, I = 40

Structural model:
Cell: 4.765 14.264 6.655 Å, 90.00 90.00 90.00°
Space group Cmmm (No. 65)
One atom of each set of equivalent atoms:
Er 0.000 0.000 0.249 (multiplicity 4)
Er 0.000 0.334 0.249 (multiplicity 8)
Ni 0.000 0.166 0.000 (multiplicity 4)
Ni 0.000 0.167 0.500 (multiplicity 4)
Ni 0.000 0.500 0.500 (multiplicity 2)
Os 0.000 0.500 0.000 (multiplicity 2)

=====

6.
Starting from a DFT-relaxed cell (GGA-PBE, Alexandria), the PXRD pattern of Li3Sn6Rh was simulated for Cu Kα.
No peak broadening, texture or thermal motion is included.

Top 12 peaks for 10 to 90 degrees two-theta, most intense first:
32.83°, I = 1000; 26.50°, I = 478; 16.29°, I = 352; 44.85°, I = 307; 34.00°, I = 295; 52.44°, I = 260; 26.20°, I = 250; 19.08°, I = 244; 39.41°, I = 186; 37.28°, I = 167; 40.41°, I = 156; 36.18°, I = 155

Structural model:
Cell: 11.569 6.375 6.922 Å, 90.00 115.37 90.00°
Space group C2/m (No. 12)
One atom of each set of equivalent atoms:
Li 0.000 0.000 0.000 (multiplicity 2)
Li 0.124 0.000 0.683 (multiplicity 4)
Sn 0.123 0.265 0.322 (multiplicity 8)
Sn 0.202 0.500 0.878 (multiplicity 4)
Rh 0.000 0.500 0.500 (multiplicity 2)

=====

7.
Starting from a DFT-relaxed cell (GGA-PBE, Alexandria), the PXRD pattern of Tm3Ir2Pb was simulated for Cu Kα.
No peak broadening, texture or thermal motion is included.

Top 12 peaks for 10 to 90 degrees two-theta, most intense first:
35.04°, I = 1000; 38.08°, I = 521; 66.85°, I = 313; 54.95°, I = 183; 40.49°, I = 161; 60.80°, I = 91; 80.35°, I = 78; 30.65°, I = 77; 67.68°, I = 71; 70.43°, I = 63; 81.45°, I = 60; 45.52°, I = 53

Structural model:
Cell: 3.342 3.342 11.956 Å, 90.00 90.00 90.00°
Space group P4/mmm (No. 123)
One atom of each set of equivalent atoms:
Tm 0.000 0.000 0.000 (multiplicity 1)
Tm 0.000 0.000 0.288 (multiplicity 2)
Ir 0.500 0.500 0.149 (multiplicity 2)
Pb 0.500 0.500 0.500 (multiplicity 1)

=====

8.
Starting from a DFT-relaxed cell (GGA-PBE, Alexandria), the PXRD pattern of AlHgAu was simulated for Cu Kα.
No peak broadening, texture or thermal motion is included.

Top 12 peaks for 10 to 90 degrees two-theta, most intense first:
33.36°, I = 1000; 41.60°, I = 424; 23.66°, I = 291; 54.34°, I = 255; 70.69°, I = 236; 64.86°, I = 169; 53.63°, I = 123; 75.92°, I = 75; 47.38°, I = 71; 79.09°, I = 70; 84.92°, I = 70; 70.08°, I = 56

Structural model:
Cell: 4.3416 4.3416 3.8371 Å, 90.00 90.00 120.00°
Space group P3m1 (No. 156)
One atom of each set of equivalent atoms:
Al 0.0000 0.0000 0.0000 (multiplicity 1)
Hg 0.3333 0.6667 0.5808 (multiplicity 1)
Au 0.6667 0.3333 0.1526 (multiplicity 1)

=====

9.
Starting from a DFT-relaxed cell (GGA-PBE, Alexandria), the PXRD pattern of LiInBiO4 was simulated for Cu Kα.
No peak broadening, texture or thermal motion is included.

Top 12 peaks for 10 to 90 degrees two-theta, most intense first:
16.66°, I = 1000; 31.07°, I = 457; 38.22°, I = 441; 16.07°, I = 389; 32.00°, I = 345; 32.48°, I = 313; 55.54°, I = 299; 33.68°, I = 283; 38.71°, I = 214; 41.69°, I = 185; 50.89°, I = 156; 66.91°, I = 138

Structural model:
Cell: 6.488 6.846 9.304 Å, 90.00 90.00 90.00°
Space group Imma (No. 74)
One atom of each set of equivalent atoms:
Li 0.000 0.250 0.124 (multiplicity 4)
In 0.250 0.250 0.750 (multiplicity 4)
Bi 0.000 0.000 0.500 (multiplicity 4)
O 0.000 0.029 0.742 (multiplicity 8)
O 0.233 0.250 0.508 (multiplicity 8)

=====

10.
Starting from a DFT-relaxed cell (GGA-PBE, Alexandria), the PXRD pattern of KTiCrTe3 was simulated for Cu Kα.
No peak broadening, texture or thermal motion is included.

Top 12 peaks for 10 to 90 degrees two-theta, most intense first:
27.23°, I = 1000; 10.61°, I = 896; 29.35°, I = 739; 39.91°, I = 607; 44.03°, I = 310; 52.54°, I = 304; 23.44°, I = 289; 32.76°, I = 281; 33.15°, I = 276; 39.12°, I = 255; 25.00°, I = 200; 37.39°, I = 194

Structural model:
Cell: 9.053 4.113 10.685 Å, 90.00 112.95 90.00°
Space group P2_1/m (No. 11)
One atom of each set of equivalent atoms:
K 0.004 0.250 0.248 (multiplicity 2)
Ti 0.499 0.750 0.369 (multiplicity 2)
Cr 0.436 0.250 0.111 (multiplicity 2)
Te 0.238 0.750 0.122 (multiplicity 2)
Te 0.294 0.750 0.505 (multiplicity 2)
Te 0.342 0.250 0.827 (multiplicity 2)